Diffraction record for Sm4PuCo5. The powder X-ray diffraction pattern is theoretical, not measured: it uses a structure optimized by DFT (PBE) and Cu Kα.

Peak list (6 most intense, 2θ from 10° to 90°, by angle)
2θ/deg	I/Imax
13.6	34
28.6	100
34.7	65
39.1	34
40.0	33
41.5	44

Cell and atoms:
```
10
Lattice="-4.6129 4.6129 2.3856 4.6129 -4.6129 2.3856 4.6129 4.6129 -2.3856" Properties=species:S:1:pos:R:3 pbc="T T T"
Sm 2.6482 0.0000 0.0000
Sm 6.5776 0.0000 0.0000
Sm 0.0000 2.6482 0.0000
Sm 0.0000 6.5776 0.0000
Pu 0.0000 0.0000 1.8548
Co 2.9462 2.9462 0.0701
Co 1.6667 -1.6667 2.4557
Co -1.6667 1.6667 2.4557
Co 1.6667 1.6667 2.4557
Co 0.0000 0.0000 4.1869
```